1.
Structure and calculated X-ray diffraction stick pattern of PmSm2Tm7 (a cell relaxed with GGA-PBE; Cu Kα X-rays).
Kinematic intensities with the Lorentz-polarization factor, no thermal factor.

Most intense lines, 2θ = 15–90°, by angle:
| d/Å | two_theta | intensity | index |
| --- | --- | --- | --- |
| 2.883 | 31.02 | 100.0 | 1 2 2 |
| 2.878 | 31.08 | 33.2 | 2 0 1 |
| 2.508 | 35.80 | 22.8 | -1 2 1 |
| 2.497 | 35.97 | 22.5 | 1 0 3 |
| 2.481 | 36.20 | 22.1 | 2 2 0 |
| 1.765 | 51.80 | 24.0 | 1 4 1 |
| 1.760 | 51.96 | 15.9 | 3 2 3 |
| 1.512 | 61.33 | 9.6 | 0 4 3 |
| 1.509 | 61.44 | 9.6 | 3 -2 0 |
| 1.507 | 61.55 | 9.5 | 2 2 5 |
| 1.504 | 61.67 | 9.5 | 3 0 4 |
| 1.499 | 61.92 | 18.7 | 4 2 1 |

Structural model:
```
data_PmSm2Tm7
_cell_length_a 6.090
_cell_length_b 7.057
_cell_length_c 7.906
_cell_angle_alpha 76.87
_cell_angle_beta 75.14
_cell_angle_gamma 73.67
_space_group_name_H-M_alt 'P -1'
_space_group_IT_number 2
loop_
_space_group_symop_operation_xyz
'x,y,z'
'-x,-y,-z'
loop_
_atom_site_label
_atom_site_fract_x
_atom_site_fract_y
_atom_site_fract_z
Pm1 0.000 0.000 0.000
Sm1 0.202 0.798 0.599
Tm1 0.000 0.500 0.000
Tm2 0.199 0.301 0.601
Tm3 0.400 0.101 0.199
Tm4 0.401 0.599 0.199
```

***

2.
Structure and calculated X-ray diffraction stick pattern of Ce2NiB10 (a cell relaxed with GGA-PBE; Cu Kα X-rays).
Kinematic intensities with the Lorentz-polarization factor, no thermal factor.

Most intense lines, 2θ = 15–90°, by angle:
| d/Å | two_theta | intensity | index |
| --- | --- | --- | --- |
| 4.161 | 21.36 | 26.1 | 0 0 1 |
| 3.951 | 22.50 | 65.9 | 1 2 0 |
| 3.200 | 27.88 | 30.1 | 1 1 1 |
| 3.096 | 28.84 | 16.4 | 1 3 0 |
| 2.865 | 31.22 | 100.0 | 1 2 1 |
| 2.324 | 38.75 | 31.7 | 2 0 1 |
| 2.315 | 38.91 | 49.7 | 0 4 1 |
| 2.275 | 39.61 | 21.1 | 2 1 1 |
| 2.080 | 43.50 | 19.5 | 0 0 2 |
| 1.976 | 45.94 | 18.6 | 2 4 0 |
| 1.841 | 49.51 | 38.5 | 1 2 2 |
| 1.549 | 59.70 | 16.3 | 3 3 1 |

Structural model:
```
data_Ce2NiB10
_cell_length_a 5.604
_cell_length_b 11.144
_cell_length_c 4.161
_cell_angle_alpha 90.00
_cell_angle_beta 90.00
_cell_angle_gamma 90.00
_space_group_name_H-M_alt 'P b a m'
_space_group_IT_number 55
loop_
_space_group_symop_operation_xyz
'x,y,z'
'-x,-y,-z'
'-x,-y,z'
'x,y,-z'
'x+1/2,-y+1/2,-z'
'-x+1/2,y+1/2,z'
'-x+1/2,y+1/2,-z'
'x+1/2,-y+1/2,z'
loop_
_atom_site_label
_atom_site_fract_x
_atom_site_fract_y
_atom_site_fract_z
Ce1 0.188 0.138 0.000
Ni1 0.000 0.500 0.500
B1 0.032 0.312 0.500
B2 0.125 0.959 0.500
B3 0.156 0.802 0.500
B4 0.201 0.386 0.199
```

***

3.
Structure and calculated X-ray diffraction stick pattern of Nd4Tl2HgAu (a cell relaxed with GGA-PBE; Cu Kα X-rays).
Kinematic intensities with the Lorentz-polarization factor, no thermal factor.

Most intense lines, 2θ = 15–90°, by angle:
| d/Å | two_theta | intensity | index |
| --- | --- | --- | --- |
| 3.851 | 23.09 | 2.9 | 1 0 4 |
| 2.964 | 30.15 | 0.9 | 0 0 9 |
| 2.723 | 32.89 | 100.0 | 1 1 0 |
| 2.224 | 40.57 | 1.0 | 0 0 12 |
| 1.926 | 47.20 | 18.2 | 2 0 8 |
| 1.722 | 53.18 | 1.5 | 1 1 12 |
| 1.572 | 58.72 | 37.7 | 3 0 0 |
| 1.489 | 62.37 | 1.1 | 0 1 17 |
| 1.362 | 68.97 | 11.6 | 2 2 0 |
| 1.284 | 73.81 | 0.8 | 0 1 20 |
| 1.218 | 78.54 | 16.0 | 3 1 8 |
| 1.112 | 87.80 | 4.1 | 0 4 8 |

Structural model:
```
data_Nd4Tl2HgAu
_cell_length_a 5.4478
_cell_length_b 5.4478
_cell_length_c 26.6712
_cell_angle_alpha 90.00
_cell_angle_beta 90.00
_cell_angle_gamma 120.00
_space_group_name_H-M_alt 'R -3 m'
_space_group_IT_number 166
_space_group_name_Hall '-R 3 2"'
loop_
_atom_site_label
_atom_site_fract_x
_atom_site_fract_y
_atom_site_fract_z
Nd1 0.0000 0.0000 0.1209
Nd2 0.0000 0.0000 0.3713
Tl1 0.0000 0.0000 0.2466
Hg1 0.0000 0.0000 0.5000
Au1 0.0000 0.0000 0.0000
```

***

4.
Structure and calculated X-ray diffraction stick pattern of Li4SeF (a cell relaxed with GGA-PBE; Cu Kα X-rays).
Kinematic intensities with the Lorentz-polarization factor, no thermal factor.

Most intense lines, 2θ = 15–90°, by angle:
| d/Å | two_theta | intensity | index |
| --- | --- | --- | --- |
| 5.718 | 15.50 | 85.3 | 0 0 1 |
| 4.055 | 21.92 | 98.4 | 0 1 0 |
| 3.974 | 22.37 | 30.0 | 1 0 0 |
| 3.264 | 27.33 | 100.0 | 1 0 -1 |
| 2.871 | 31.15 | 34.3 | 0 1 -1 |
| 2.856 | 31.32 | 49.7 | 0 1 2 |
| 2.838 | 31.52 | 83.2 | 1 1 1 |
| 2.327 | 38.69 | 24.7 | 1 1 -1 |
| 2.320 | 38.82 | 50.8 | 1 0 2 |
| 2.168 | 41.66 | 23.0 | 0 2 1 |
| 1.807 | 50.50 | 38.4 | 1 1 -2 |
| 1.802 | 50.65 | 25.9 | 1 1 3 |

Structural model:
```
data_Li4SeF
_cell_length_a 3.974
_cell_length_b 4.336
_cell_length_c 6.104
_cell_angle_alpha 69.52
_cell_angle_beta 89.92
_cell_angle_gamma 89.98
_space_group_name_H-M_alt 'P 1'
_space_group_IT_number 1
loop_
_space_group_symop_operation_xyz
'x,y,z'
loop_
_atom_site_label
_atom_site_fract_x
_atom_site_fract_y
_atom_site_fract_z
Li1 0.000 0.000 0.000
Li2 0.000 0.254 0.425
Li3 0.500 0.777 0.425
Li4 0.501 0.543 0.919
Se1 0.500 0.147 0.708
F1 0.001 0.851 0.336
```

***

5.
Structure and calculated X-ray diffraction stick pattern of NaMn2H (a cell relaxed with GGA-PBE; Cu Kα X-rays).
Kinematic intensities with the Lorentz-polarization factor, no thermal factor.

Most intense lines, 2θ = 15–90°, by angle:
| d/Å | two_theta | intensity | index |
| --- | --- | --- | --- |
| 4.598 | 19.30 | 59.7 | 1 1 1 |
| 2.816 | 31.78 | 10.3 | 2 2 0 |
| 2.401 | 37.45 | 100.0 | 3 1 1 |
| 2.299 | 39.18 | 69.8 | 2 2 2 |
| 1.991 | 45.56 | 19.6 | 4 0 0 |
| 1.827 | 49.91 | 12.1 | 3 3 1 |
| 1.533 | 60.39 | 29.4 | 5 1 1 |
| 1.408 | 66.40 | 28.5 | 4 4 0 |
| 1.346 | 69.87 | 8.1 | 5 3 1 |
| 1.215 | 78.80 | 9.3 | 5 3 3 |
| 1.201 | 79.89 | 21.5 | 6 2 2 |
| 1.115 | 87.46 | 4.4 | 7 1 1 |

Structural model:
Cell lengths 7.965, 7.965, 7.965 Å; angles 90.00, 90.00, 90.00 degrees
Space group Fd-3m (No. 227, origin choice 2)
One atom of each set of equivalent atoms:
Na1 0.125 0.125 0.125 (multiplicity 8)
Mn1 0.000 0.000 0.500 (multiplicity 16)
H1 0.125 0.125 0.625 (multiplicity 8)

***

6.
Structure and calculated X-ray diffraction stick pattern of V4GaSe8 (a cell relaxed with GGA-PBE; Cu Kα X-rays).
Kinematic intensities with the Lorentz-polarization factor, no thermal factor.

Most intense lines, 2θ = 15–90°, by angle:
| d/Å | two_theta | intensity | index |
| --- | --- | --- | --- |
| 3.085 | 28.94 | 24.3 | 3 1 1 |
| 2.954 | 30.26 | 77.1 | 2 2 2 |
| 2.558 | 35.08 | 100.0 | 4 0 0 |
| 2.089 | 43.32 | 26.0 | 4 2 2 |
| 1.969 | 46.10 | 20.8 | 5 1 1 |
| 1.809 | 50.46 | 90.1 | 4 4 0 |
| 1.542 | 59.97 | 34.4 | 6 2 2 |
| 1.477 | 62.94 | 18.2 | 4 4 4 |
| 1.367 | 68.64 | 12.2 | 6 4 2 |
| 1.206 | 79.49 | 16.1 | 8 2 2 |
| 1.174 | 82.12 | 14.5 | 6 6 2 |
| 1.144 | 84.74 | 18.3 | 8 4 0 |

Structural model:
```
data_V4GaSe8
_cell_length_a 10.232
_cell_length_b 10.232
_cell_length_c 10.232
_cell_angle_alpha 90.00
_cell_angle_beta 90.00
_cell_angle_gamma 90.00
_space_group_name_H-M_alt 'F -4 3 m'
_space_group_IT_number 216
_space_group_name_Hall 'F -4 2 3'
loop_
_atom_site_label
_atom_site_fract_x
_atom_site_fract_y
_atom_site_fract_z
V1 0.104 0.104 0.104
Ga1 0.000 0.000 0.500
Se1 0.131 0.131 0.869
Se2 0.138 0.138 0.362
```

***

7.
Structure and calculated X-ray diffraction stick pattern of HfAgOsO6 (a cell relaxed with GGA-PBE; Cu Kα X-rays).
Kinematic intensities with the Lorentz-polarization factor, no thermal factor.

Most intense lines, 2θ = 15–90°, by angle:
| d/Å | two_theta | intensity | index |
| --- | --- | --- | --- |
| 4.883 | 18.17 | 33.4 | 0 0 1 |
| 3.356 | 26.56 | 100.0 | 1 0 1 |
| 2.667 | 33.60 | 56.5 | 1 1 0 |
| 2.442 | 36.81 | 11.8 | 0 0 2 |
| 2.341 | 38.45 | 27.6 | 2 -1 1 |
| 2.088 | 43.33 | 25.4 | 2 0 1 |
| 1.801 | 50.69 | 50.9 | 2 -1 2 |
| 1.644 | 55.92 | 24.8 | 3 -1 1 |
| 1.540 | 60.08 | 16.7 | 3 0 0 |
| 1.303 | 72.57 | 11.8 | 3 0 2 |
| 1.239 | 76.92 | 9.9 | 3 1 1 |
| 1.170 | 82.39 | 11.8 | 2 2 2 |

Structural model:
```
data_HfAgOsO6
_cell_length_a 5.3349
_cell_length_b 5.3349
_cell_length_c 4.8835
_cell_angle_alpha 90.00
_cell_angle_beta 90.00
_cell_angle_gamma 120.00
_space_group_name_H-M_alt 'P 3 1 2'
_space_group_IT_number 149
loop_
_space_group_symop_operation_xyz
'x,y,z'
'-y,x-y,z'
'-x+y,-x,z'
'-y,-x,-z'
'-x+y,y,-z'
'x,x-y,-z'
loop_
_atom_site_label
_atom_site_fract_x
_atom_site_fract_y
_atom_site_fract_z
Hf1 0.0000 0.0000 0.0000
Ag1 0.6667 0.3333 0.5000
Os1 0.3333 0.6667 0.0000
O1 0.0504 0.3556 0.2213
```

***

8.
Structure and calculated X-ray diffraction stick pattern of PrMg2Zn2Ga (a cell relaxed with GGA-PBE; Cu Kα X-rays).
Kinematic intensities with the Lorentz-polarization factor, no thermal factor.

Most intense lines, 2θ = 15–90°, by angle:
| d/Å | two_theta | intensity | index |
| --- | --- | --- | --- |
| 3.582 | 24.85 | 100.0 | 1 1 0 |
| 3.016 | 29.62 | 26.5 | 1 1 2 |
| 3.001 | 29.77 | 35.2 | 1 0 3 |
| 2.794 | 32.04 | 34.2 | 0 0 4 |
| 2.533 | 35.44 | 71.2 | 2 0 0 |
| 2.203 | 40.97 | 34.6 | 1 1 4 |
| 1.936 | 46.94 | 19.9 | 2 1 3 |
| 1.877 | 48.51 | 42.1 | 2 0 4 |
| 1.791 | 50.99 | 24.7 | 2 2 0 |
| 1.602 | 57.53 | 19.2 | 3 1 0 |
| 1.508 | 61.50 | 20.2 | 2 2 4 |
| 1.390 | 67.38 | 15.4 | 3 1 4 |

Structural model:
```
data_PrMg2Zn2Ga
_cell_length_a 5.066
_cell_length_b 5.066
_cell_length_c 11.175
_cell_angle_alpha 90.00
_cell_angle_beta 90.00
_cell_angle_gamma 90.00
_space_group_name_H-M_alt 'I 4/m m m'
_space_group_IT_number 139
_space_group_name_Hall '-I 4 2'
loop_
_atom_site_label
_atom_site_fract_x
_atom_site_fract_y
_atom_site_fract_z
Pr1 0.000 0.000 0.000
Mg1 0.000 0.500 0.250
Zn1 0.000 0.000 0.288
Ga1 0.000 0.000 0.500
```